No. 1
# PmDyZn2
Theoretical X-ray powder pattern, Cu Kα X-rays. Input: a crystal structure in the Materials Project, relaxed with GGA-PBE.
Intensities are scaled so that the largest is 1000.

The 9 most intense peaks (2θ = 10–90°), by intensity:
2theta, d_spacing, I/Imax
35.1, 2.556, 1000
63.0, 1.476, 358
50.5, 1.807, 177
24.6, 3.614, 163
84.8, 1.143, 155
74.2, 1.278, 110
57.0, 1.616, 69
43.4, 2.087, 50
79.6, 1.205, 35

Cell and atoms:
Lattice parameters (Å, degrees): 5.1115 5.1115 5.1115 60.00 60.00 60.00
Element x y z (fractional)
Pm 0.0000 0.0000 0.0000
Dy 0.5000 0.5000 0.5000
Zn 0.2500 0.2500 0.2500
Zn 0.7500 0.7500 0.7500

---

No. 2
# LaCuSn
Theoretical X-ray powder pattern, Cu Kα X-rays. Input: a crystal structure in the Materials Project, relaxed with GGA-PBE.
Intensities are scaled so that the largest is 1000.

The 12 most intense peaks (2θ = 10–90°), by intensity:
2theta, d_spacing, I/Imax
30.8, 2.907, 1000
40.1, 2.248, 468
58.9, 1.567, 300
51.4, 1.778, 238
67.1, 1.394, 214
41.3, 2.185, 144
87.4, 1.116, 103
68.8, 1.365, 99
72.9, 1.298, 80
22.8, 3.893, 69
82.7, 1.166, 61
86.6, 1.124, 52

Cell and atoms:
Lattice parameters (Å, degrees): 4.4951 4.4951 4.3710 90.00 90.00 120.00
Element x y z (fractional)
La 0.0000 0.0000 0.0000
Cu 0.3333 0.6667 0.5000
Sn 0.6667 0.3333 0.5000

---

No. 3
# RbReO3
Theoretical X-ray powder pattern, Cu Kα X-rays. Input: a crystal structure in the Materials Project, relaxed with GGA-PBE.
Intensities are scaled so that the largest is 1000.

The 12 most intense peaks (2θ = 10–90°), by intensity:
2theta, d_spacing, I/Imax
31.8, 2.817, 1000
56.6, 1.626, 400
45.5, 1.992, 287
22.3, 3.984, 244
66.4, 1.409, 178
75.5, 1.260, 175
51.3, 1.782, 106
84.2, 1.150, 61
71.0, 1.328, 49
88.5, 1.105, 23
39.2, 2.300, 14
79.8, 1.201, 10

Cell and atoms:
Lattice parameters (Å, degrees): 3.9841 3.9841 3.9841 90.00 90.00 90.00
Element x y z (fractional)
Rb 0.0000 0.0000 0.0000
Re 0.5000 0.5000 0.5000
O 0.0000 0.5000 0.5000
O 0.5000 0.0000 0.5000
O 0.5000 0.5000 0.0000

---

No. 4
# NbSiRh
Theoretical X-ray powder pattern, Cu Kα X-rays. Input: a crystal structure in the Materials Project, relaxed with GGA-PBE.
Intensities are scaled so that the largest is 1000.

The 12 most intense peaks (2θ = 10–90°), by intensity:
2theta, d_spacing, I/Imax
36.8, 2.441, 1000
38.7, 2.328, 658
36.6, 2.453, 501
48.2, 1.889, 376
39.2, 2.295, 350
43.8, 2.065, 350
44.0, 2.059, 317
30.0, 2.981, 271
72.0, 1.312, 262
67.2, 1.394, 191
63.8, 1.458, 161
37.0, 2.427, 154

Cell and atoms:
Lattice parameters (Å, degrees): 6.4534 3.7775 7.3679 90.00 90.00 90.00
Element x y z (fractional)
Nb 0.0255 0.2500 0.1734
Nb 0.4745 0.7500 0.6734
Nb 0.5255 0.2500 0.3266
Nb 0.9745 0.7500 0.8266
Si 0.2313 0.7500 0.3754
Si 0.2687 0.2500 0.8754
Si 0.7313 0.7500 0.1246
Si 0.7687 0.2500 0.6246
Rh 0.1453 0.2500 0.5625
Rh 0.3547 0.7500 0.0625
Rh 0.6453 0.2500 0.9375
Rh 0.8547 0.7500 0.4375

---

No. 5
# BaTlSb2O6
Theoretical X-ray powder pattern, Cu Kα X-rays. Input: a crystal structure in the Materials Project, relaxed with GGA-PBE.
Intensities are scaled so that the largest is 1000.

The 12 most intense peaks (2θ = 10–90°), by intensity:
2theta, d_spacing, I/Imax
29.0, 3.081, 1000
32.9, 2.722, 772
26.8, 3.326, 681
45.8, 1.982, 542
47.2, 1.925, 437
23.2, 3.836, 436
55.1, 1.667, 378
30.9, 2.892, 370
56.4, 1.632, 321
57.5, 1.602, 257
37.4, 2.407, 250
75.4, 1.260, 186

Cell and atoms:
Lattice parameters (Å, degrees): 23.2929 23.2929 23.2929 170.52 170.52 13.42
Element x y z (fractional)
Ba 0.1601 0.1601 0.0000
Ba 0.8399 0.8399 0.0000
Tl 0.2753 0.2753 0.0000
Tl 0.7247 0.7247 0.0000
Sb 0.3998 0.3998 0.0000
Sb 0.4688 0.4688 0.0000
Sb 0.5312 0.5312 0.0000
Sb 0.6002 0.6002 0.0000
O 0.0412 0.5412 0.5000
O 0.1192 0.6192 0.5000
O 0.2304 0.2304 0.0000
O 0.3189 0.3189 0.0000
O 0.3808 0.8808 0.5000
O 0.4588 0.9588 0.5000
O 0.5412 0.0412 0.5000
O 0.6192 0.1192 0.5000
O 0.6811 0.6811 0.0000
O 0.7696 0.7696 0.0000
O 0.8808 0.3808 0.5000
O 0.9588 0.4588 0.5000

---

No. 6
# K3DyCl6
Theoretical X-ray powder pattern, Cu Kα X-rays. Input: a crystal structure in the Materials Project, relaxed with GGA-PBE.
Intensities are scaled so that the largest is 1000.

The 12 most intense peaks (2θ = 10–90°), by intensity:
2theta, d_spacing, I/Imax
14.1, 6.272, 1000
16.3, 5.430, 554
33.0, 2.715, 463
23.8, 3.732, 413
23.2, 3.840, 331
43.3, 2.090, 258
14.7, 6.036, 230
36.0, 2.492, 203
34.0, 2.639, 195
16.8, 5.278, 192
37.5, 2.401, 186
27.2, 3.274, 184

Cell and atoms:
Lattice parameters (Å, degrees): 13.2368 7.8018 12.7506 90.00 108.78 90.00
Element x y z (fractional)
K 0.0978 0.0331 0.3582
K 0.0978 0.4669 0.8582
K 0.3146 0.5654 0.2666
K 0.3146 0.9346 0.7666
K 0.3206 0.0652 0.1123
K 0.3206 0.4348 0.6123
K 0.6794 0.5652 0.3877
K 0.6794 0.9348 0.8877
K 0.6854 0.0654 0.2334
K 0.6854 0.4346 0.7334
K 0.9022 0.5331 0.1418
K 0.9022 0.9669 0.6418
Dy 0.0000 0.0000 0.0000
Dy 0.0000 0.5000 0.5000
Dy 0.5000 0.0000 0.5000
Dy 0.5000 0.5000 0.0000
Cl 0.1013 0.2161 0.5942
Cl 0.1013 0.2839 0.0942
Cl 0.1192 0.5015 0.3702
Cl 0.1192 0.9985 0.8702
Cl 0.1389 0.6795 0.6543
Cl 0.1389 0.8205 0.1543
Cl 0.3456 0.7092 0.0049
Cl 0.3456 0.7908 0.5049
Cl 0.3476 0.2153 0.3934
Cl 0.3476 0.2847 0.8934
Cl 0.4994 0.1422 0.6907
Cl 0.4994 0.3578 0.1907
Cl 0.5006 0.6422 0.8093
Cl 0.5006 0.8578 0.3093
Cl 0.6524 0.7153 0.1066
Cl 0.6524 0.7847 0.6066
Cl 0.6544 0.2092 0.4951
Cl 0.6544 0.2908 0.9951
Cl 0.8611 0.1795 0.8457
Cl 0.8611 0.3205 0.3457
Cl 0.8808 0.0015 0.1298
Cl 0.8808 0.4985 0.6298
Cl 0.8987 0.7161 0.9058
Cl 0.8987 0.7839 0.4058

---

No. 7
# BaSrSm4O8
Theoretical X-ray powder pattern, Cu Kα X-rays. Input: a crystal structure in the Materials Project, relaxed with GGA-PBE.
Intensities are scaled so that the largest is 1000.

The 12 most intense peaks (2θ = 10–90°), by intensity:
2theta, d_spacing, I/Imax
29.4, 3.037, 1000
30.2, 2.957, 814
28.9, 3.091, 494
42.4, 2.131, 396
30.4, 2.940, 369
52.5, 1.742, 327
60.3, 1.534, 270
42.9, 2.107, 230
51.5, 1.774, 179
52.0, 1.758, 174
51.4, 1.778, 166
34.4, 2.607, 161

Cell and atoms:
Lattice parameters (Å, degrees): 3.5558 12.3649 10.4594 90.00 90.00 90.00
Element x y z (fractional)
Ba 0.0000 0.1028 0.0000
Ba 0.0000 0.8972 0.5000
Sr 0.5000 0.3966 0.5013
Sr 0.5000 0.6034 0.0013
Sm 0.0000 0.1416 0.3332
Sm 0.0000 0.3653 0.8231
Sm 0.0000 0.6347 0.3231
Sm 0.0000 0.8584 0.8332
Sm 0.5000 0.1393 0.6747
Sm 0.5000 0.3634 0.1699
Sm 0.5000 0.6366 0.6699
Sm 0.5000 0.8607 0.1747
O 0.0000 0.0337 0.7380
O 0.0000 0.2713 0.6211
O 0.0000 0.3305 0.3258
O 0.0000 0.4276 0.0365
O 0.0000 0.5724 0.5365
O 0.0000 0.6695 0.8258
O 0.0000 0.7287 0.1211
O 0.0000 0.9663 0.2380
O 0.5000 0.0791 0.4636
O 0.5000 0.1751 0.1830
O 0.5000 0.2350 0.8723
O 0.5000 0.4668 0.7591
O 0.5000 0.5332 0.2591
O 0.5000 0.7650 0.3723
O 0.5000 0.8249 0.6830
O 0.5000 0.9209 0.9636

---

No. 8
# Sr5Ti7O19
Theoretical X-ray powder pattern, Cu Kα X-rays. Input: a crystal structure in the Materials Project, relaxed with GGA-PBE.
Intensities are scaled so that the largest is 1000.

The 12 most intense peaks (2θ = 10–90°), by intensity:
2theta, d_spacing, I/Imax
32.8, 2.730, 1000
31.5, 2.844, 610
47.4, 1.916, 395
46.7, 1.944, 394
44.6, 2.030, 391
31.9, 2.807, 325
56.5, 1.629, 293
34.3, 2.612, 286
57.4, 1.606, 269
59.1, 1.562, 239
30.4, 2.939, 234
32.0, 2.797, 225

Cell and atoms:
Lattice parameters (Å, degrees): 3.8356 5.6146 32.3272 90.00 90.00 90.00
Element x y z (fractional)
Sr 0.0000 0.0000 0.0000
Sr 0.0000 0.0000 0.1721
Sr 0.0000 0.0000 0.8279
Sr 0.0000 0.5000 0.0875
Sr 0.0000 0.5000 0.9125
Ti 0.5000 0.0000 0.0868
Ti 0.5000 0.0000 0.2536
Ti 0.5000 0.0000 0.7464
Ti 0.5000 0.0000 0.9132
Ti 0.5000 0.5000 0.0000
Ti 0.5000 0.5000 0.1745
Ti 0.5000 0.5000 0.8255
O 0.0000 0.0000 0.0871
O 0.0000 0.0000 0.2683
O 0.0000 0.0000 0.7317
O 0.0000 0.0000 0.9129
O 0.0000 0.5000 0.0000
O 0.0000 0.5000 0.1712
O 0.0000 0.5000 0.8288
O 0.5000 0.2372 0.2162
O 0.5000 0.2372 0.7838
O 0.5000 0.2497 0.0435
O 0.5000 0.2496 0.1305
O 0.5000 0.2496 0.8695
O 0.5000 0.2497 0.9565
O 0.5000 0.7503 0.0435
O 0.5000 0.7504 0.1305
O 0.5000 0.7504 0.8695
O 0.5000 0.7503 0.9565
O 0.5000 0.7628 0.2162
O 0.5000 0.7628 0.7838